This entry pairs a crystal structure of PrSi2TcIr with its theoretical X-ray diffraction stick pattern. Radiation: Cu Kα (λ = 1.5418 Å). Structure: a DFT-relaxed cell (GGA-PBE, Alexandria).
Peak positions follow from Bragg's law for the DFT cell and can differ from measured ones.

Peak list (10 most intense, 2θ from 15° to 90°, in order of rising 2θ)
17.90°, I 17
22.79°, I 29
34.40°, I 25
34.95°, I 100
36.25°, I 18
42.60°, I 38
57.15°, I 19
61.83°, I 13
64.38°, I 19
73.04°, I 23

Crystal structure
```
PrSi2TcIr
1.0
4.2441 0.0000 0.0000
0.0000 4.2441 0.0000
0.0000 0.0000 9.9117
Pr Si Tc Ir
2 4 2 2
Cartesian
0.0000 0.0000 0.0000 Pr
2.1221 2.1221 4.9558 Pr
0.0000 0.0000 3.6386 Si
0.0000 0.0000 6.2731 Si
2.1221 2.1221 1.3172 Si
2.1221 2.1221 8.5944 Si
0.0000 2.1221 2.4779 Tc
2.1221 0.0000 7.4338 Tc
0.0000 2.1221 7.4338 Ir
2.1221 0.0000 2.4779 Ir
```

***

This entry pairs a crystal structure of Ba2Pu2O7 with its theoretical X-ray diffraction stick pattern. Radiation: Cu Kα (λ = 1.5418 Å). Structure: a DFT-relaxed cell (GGA-PBE, Alexandria).
Peak positions follow from Bragg's law for the DFT cell and can differ from measured ones.

Peak list (10 most intense, 2θ from 15° to 90°, in order of rising 2θ)
26.77°, I 100
26.99°, I 96
30.90°, I 56
31.60°, I 27
44.55°, I 16
44.78°, I 58
52.36°, I 36
52.74°, I 31
53.39°, I 16
73.51°, I 17

Crystal structure
```
Ba2Pu2O7
1.0
-4.0677 5.6633 4.1175
4.0677 -5.6633 4.1175
4.0677 5.6633 -4.1175
Ba Pu O
4 4 14
Cartesian
0.0000 0.0000 0.0000 Ba
-2.0339 2.8317 2.0588 Ba
0.0000 5.6633 0.0000 Ba
2.0339 2.8317 2.0588 Ba
2.0339 2.8317 -2.0588 Pu
2.0339 -2.8317 2.0588 Pu
4.0677 0.0000 0.0000 Pu
0.0000 0.0000 4.1175 Pu
2.4175 1.3464 -0.5534 O
5.7179 1.3464 -0.5534 O
4.0677 -2.8317 2.8229 O
4.0677 1.0443 1.7561 O
2.4175 4.3169 -0.5534 O
1.6502 -1.3464 3.5642 O
0.0000 1.0443 2.3614 O
4.0677 4.6190 1.7561 O
2.4175 7.0097 0.5534 O
1.6502 1.3464 4.6709 O
0.0000 4.6190 2.3614 O
0.0000 8.4950 1.2946 O
-1.6502 4.3169 4.6709 O
1.6502 4.3169 4.6709 O
```

***

This entry pairs a crystal structure of AcSm4In5 with its theoretical X-ray diffraction stick pattern. Radiation: Cu Kα (λ = 1.5418 Å). Structure: a DFT-relaxed cell (GGA-PBE, Alexandria).
Peak positions follow from Bragg's law for the DFT cell and can differ from measured ones.

Peak list (10 most intense, 2θ from 15° to 90°, in order of rising 2θ)
32.60°, I 100
46.57°, I 5
46.86°, I 13
58.03°, I 10
58.22°, I 24
68.21°, I 6
68.43°, I 4
77.42°, I 3
77.88°, I 11
86.84°, I 3

Crystal structure
```
AcSm4In5
1.0
3.8777 0.0000 0.0000
0.0000 3.8777 0.0000
0.0000 0.0000 19.5023
Ac Sm In
1 4 5
Cartesian
0.0000 0.0000 0.0000 Ac
0.0000 0.0000 4.0993 Sm
0.0000 0.0000 7.8736 Sm
0.0000 0.0000 11.6287 Sm
0.0000 0.0000 15.4030 Sm
1.9388 1.9388 2.2464 In
1.9388 1.9388 5.9986 In
1.9388 1.9388 9.7512 In
1.9388 1.9388 13.5037 In
1.9388 1.9388 17.2560 In
```

***

This entry pairs a crystal structure of Ba3TaN4 with its theoretical X-ray diffraction stick pattern. Radiation: Cu Kα (λ = 1.5418 Å). Structure: a DFT-relaxed cell (GGA-PBE, Alexandria).
Peak positions follow from Bragg's law for the DFT cell and can differ from measured ones.

Peak list (10 most intense, 2θ from 15° to 90°, in order of rising 2θ)
23.22°, I 12
28.14°, I 100
28.94°, I 82
29.06°, I 83
30.72°, I 14
40.04°, I 21
40.40°, I 20
50.23°, I 28
50.45°, I 31
51.92°, I 17

Crystal structure
```
Ba3TaN4
1.0
8.4706 0.0000 0.0000
0.0000 9.0080 0.0000
0.0000 0.0000 8.9313
Ba Ta N
12 4 16
Cartesian
0.2394 0.2448 2.0423 Ba
0.2394 4.2592 2.0423 Ba
1.6520 6.7560 4.2806 Ba
2.5833 2.2520 8.7462 Ba
3.9959 4.7488 6.5080 Ba
3.9959 8.7632 6.5080 Ba
4.4747 0.2448 2.4233 Ba
4.4747 4.2592 2.4233 Ba
5.8873 6.7560 0.1851 Ba
6.8186 2.2520 4.6507 Ba
8.2312 4.7488 6.8889 Ba
8.2312 8.7632 6.8889 Ba
1.9234 6.7560 8.8547 Ta
2.3119 2.2520 4.3890 Ta
6.1587 6.7560 4.5422 Ta
6.5472 2.2520 0.0766 Ta
0.0632 6.7560 0.5251 N
1.5071 0.5418 4.9326 N
1.5071 3.9622 4.9326 N
1.9227 6.7560 6.8925 N
2.3126 2.2520 2.4269 N
2.7282 5.0458 0.4670 N
2.7282 8.4662 0.4670 N
4.1720 2.2520 4.9907 N
4.2985 6.7560 3.9406 N
5.7424 0.5418 8.4643 N
5.7424 3.9622 8.4643 N
6.1580 6.7560 6.5044 N
6.5479 2.2520 2.0388 N
6.9635 5.0458 3.9987 N
6.9635 8.4662 3.9987 N
8.4073 2.2520 8.4062 N
```

***

This entry pairs a crystal structure of Li2Ca3Cd3 with its theoretical X-ray diffraction stick pattern. Radiation: Cu Kα (λ = 1.5418 Å). Structure: a DFT-relaxed cell (GGA-PBE, Alexandria).
Peak positions follow from Bragg's law for the DFT cell and can differ from measured ones.

Peak list (10 most intense, 2θ from 15° to 90°, in order of rising 2θ)
21.15°, I 28
23.33°, I 15
26.11°, I 13
29.79°, I 20
33.51°, I 100
33.64°, I 26
35.06°, I 21
49.38°, I 14
60.07°, I 17
61.90°, I 13

Crystal structure
```
Li2Ca3Cd3
1.0
3.8804 0.0000 0.0000
0.0000 5.3283 0.0000
0.0000 0.0000 20.4759
Li Ca Cd
4 6 6
Cartesian
0.0000 0.0000 4.8612 Li
0.0000 0.0000 15.6147 Li
1.9402 2.6641 5.3768 Li
1.9402 2.6641 15.0991 Li
0.0000 0.0000 0.0000 Ca
0.0000 2.6641 2.6408 Ca
0.0000 2.6641 17.8351 Ca
1.9402 0.0000 7.5971 Ca
1.9402 0.0000 12.8788 Ca
1.9402 2.6641 10.2380 Ca
0.0000 0.0000 10.2380 Cd
0.0000 2.6641 7.4626 Cd
0.0000 2.6641 13.0133 Cd
1.9402 0.0000 2.7753 Cd
1.9402 0.0000 17.7006 Cd
1.9402 2.6641 0.0000 Cd
```

***

This entry pairs a crystal structure of LaZr4Ta with its theoretical X-ray diffraction stick pattern. Radiation: Cu Kα (λ = 1.5418 Å). Structure: a DFT-relaxed cell (GGA-PBE, Alexandria).
Peak positions follow from Bragg's law for the DFT cell and can differ from measured ones.

Peak list (10 most intense, 2θ from 15° to 90°, in order of rising 2θ)
30.51°, I 46
35.94°, I 100
37.59°, I 25
54.22°, I 18
57.81°, I 33
63.50°, I 26
72.07°, I 8
75.17°, I 11
76.20°, I 9
88.23°, I 10

Crystal structure
```
LaZr4Ta
1.0
0.0000 4.1440 4.1440
4.1440 0.0000 4.1440
4.1440 4.1440 0.0000
La Zr Ta
1 4 1
Cartesian
0.0000 0.0000 0.0000 La
3.1199 3.1199 3.1199 Zr
5.1681 5.1681 3.1199 Zr
5.1681 3.1199 5.1681 Zr
3.1199 5.1681 5.1681 Zr
6.2160 6.2160 6.2160 Ta
```

***

This entry pairs a crystal structure of Tm12Sc7In with its theoretical X-ray diffraction stick pattern. Radiation: Cu Kα (λ = 1.5418 Å). Structure: a DFT-relaxed cell (GGA-PBE, Alexandria).
Peak positions follow from Bragg's law for the DFT cell and can differ from measured ones.

Peak list (10 most intense, 2θ from 15° to 90°, in order of rising 2θ)
17.54°, I 27
27.40°, I 10
32.62°, I 100
32.78°, I 28
33.67°, I 31
35.48°, I 41
43.85°, I 10
56.27°, I 18
59.42°, I 11
59.52°, I 17

Crystal structure
```
Tm12Sc7In
1.0
6.5401 3.7759 3.7535
-6.5401 3.7759 3.7535
0.0000 -7.5519 3.7535
Tm Sc In
12 7 1
Cartesian
-1.7009 -4.5895 3.7586 Tm
-1.7023 0.9461 2.8023 Tm
0.0318 -1.9473 2.8023 Tm
-3.1241 3.7678 3.7586 Tm
-4.8251 -0.8217 7.5019 Tm
1.6705 1.0012 2.8023 Tm
-1.6705 -1.0012 8.4582 Tm
4.8250 0.8217 3.7586 Tm
3.1241 -3.7678 7.5019 Tm
-0.0318 1.9473 8.4582 Tm
1.7023 -0.9461 8.4582 Tm
1.7009 4.5895 7.5019 Tm
0.0000 0.0000 0.0000 Sc
-2.6904 -1.5581 5.1239 Sc
-2.6946 1.5509 6.1367 Sc
0.0042 -3.1091 6.1367 Sc
-0.0042 3.1091 5.1239 Sc
2.6946 -1.5509 5.1239 Sc
2.6904 1.5581 6.1367 Sc
0.0000 0.0000 5.6303 In
```

***

This entry pairs a crystal structure of PmY2 with its theoretical X-ray diffraction stick pattern. Radiation: Cu Kα (λ = 1.5418 Å). Structure: a DFT-relaxed cell (GGA-PBE, Alexandria).
Peak positions follow from Bragg's law for the DFT cell and can differ from measured ones.

Peak list (10 most intense, 2θ from 15° to 90°, in order of rising 2θ)
25.44°, I 4
30.42°, I 100
35.27°, I 50
50.74°, I 35
60.32°, I 41
63.31°, I 12
74.65°, I 4
82.65°, I 17
85.20°, I 5
85.34°, I 10

Crystal structure
```
PmY2
1.0
3.5963 0.0000 0.0000
0.0000 3.5963 0.0000
0.0000 0.0000 15.2856
Pm Y
2 4
Cartesian
0.0000 0.0000 0.0000 Pm
1.7981 1.7981 7.6428 Pm
0.0000 0.0000 5.0894 Y
0.0000 0.0000 10.1962 Y
1.7981 1.7981 2.5534 Y
1.7981 1.7981 12.7323 Y
```

***

This entry pairs a crystal structure of Sr3InPt with its theoretical X-ray diffraction stick pattern. Radiation: Cu Kα (λ = 1.5418 Å). Structure: a DFT-relaxed cell (GGA-PBE, Alexandria).
Peak positions follow from Bragg's law for the DFT cell and can differ from measured ones.

Peak list (10 most intense, 2θ from 15° to 90°, in order of rising 2θ)
19.52°, I 27
27.03°, I 37
30.49°, I 69
31.42°, I 37
32.76°, I 24
32.92°, I 100
37.20°, I 21
39.19°, I 39
41.23°, I 25
52.09°, I 24

Crystal structure
```
Sr3InPt
1.0
8.4728 -2.2986 0.0000
8.4728 2.2986 0.0000
-5.9727 0.0000 9.1867
Sr In Pt
6 2 2
Cartesian
-1.0637 0.0000 4.1560 Sr
4.4240 0.0000 1.7311 Sr
1.4424 0.0000 7.2165 Sr
9.5305 0.0000 1.9702 Sr
6.5489 0.0000 7.4556 Sr
12.0366 0.0000 5.0307 Sr
-4.3897 0.0000 8.5108 In
15.3626 0.0000 0.6759 In
2.0365 0.0000 3.8808 Pt
8.9364 0.0000 5.3060 Pt
```

***

This entry pairs a crystal structure of Tb2Ga2Ni with its theoretical X-ray diffraction stick pattern. Radiation: Cu Kα (λ = 1.5418 Å). Structure: a DFT-relaxed cell (GGA-PBE, Alexandria).
Peak positions follow from Bragg's law for the DFT cell and can differ from measured ones.

Peak list (10 most intense, 2θ from 15° to 90°, in order of rising 2θ)
32.78°, I 82
33.32°, I 65
33.42°, I 100
34.08°, I 49
36.77°, I 49
38.63°, I 35
40.46°, I 68
42.66°, I 61
55.66°, I 32
65.87°, I 30

Crystal structure
```
Tb2Ga2Ni
1.0
5.2684 -2.1196 0.0000
5.2684 2.1196 0.0000
-4.8057 0.0000 9.3236
Tb Ga Ni
4 4 2
Cartesian
-1.5101 0.0000 3.1099 Tb
1.4436 0.0000 1.1017 Tb
4.2875 0.0000 8.2218 Tb
7.2412 0.0000 6.2136 Tb
1.5062 0.0000 4.1151 Ga
4.5145 0.0000 1.0972 Ga
1.2166 0.0000 8.2264 Ga
4.2249 0.0000 5.2084 Ga
-0.2423 0.0000 6.1189 Ni
5.9734 0.0000 3.2047 Ni
```

***

This entry pairs a crystal structure of TiCo2S4 with its theoretical X-ray diffraction stick pattern. Radiation: Cu Kα (λ = 1.5418 Å). Structure: a DFT-relaxed cell (GGA-PBE, Alexandria).
Peak positions follow from Bragg's law for the DFT cell and can differ from measured ones.

Peak list (10 most intense, 2θ from 15° to 90°, in order of rising 2θ)
26.23°, I 46
30.77°, I 47
30.90°, I 100
37.28°, I 23
37.51°, I 47
49.09°, I 16
49.34°, I 38
53.92°, I 83
54.09°, I 41
67.53°, I 14

Crystal structure
```
TiCo2S4
1.0
6.7823 0.0000 0.0000
0.0000 6.7823 0.0000
0.0000 0.0000 9.6470
Ti Co S
4 8 16
Cartesian
0.0000 1.7131 0.0000 Ti
0.0000 5.0692 4.8235 Ti
1.7131 0.0000 7.2353 Ti
5.0692 0.0000 2.4118 Ti
1.6383 3.3912 7.2353 Co
1.7836 1.7836 3.6176 Co
1.7836 4.9987 1.2059 Co
3.3912 1.6383 0.0000 Co
3.3912 5.1440 4.8235 Co
4.9987 1.7836 6.0294 Co
4.9987 4.9987 8.4412 Co
5.1440 3.3912 2.4118 Co
0.0012 1.7461 2.4179 S
6.7811 1.7461 7.2291 S
0.0012 5.0362 2.4056 S
6.7811 5.0362 7.2414 S
1.7461 6.7811 0.0061 S
1.7461 0.0012 4.8174 S
1.8123 3.3141 9.5353 S
1.8123 3.4682 4.9353 S
3.3141 1.8123 7.3471 S
3.3141 4.9700 7.1235 S
3.4682 1.8123 2.3000 S
3.4682 4.9700 2.5235 S
4.9700 3.3141 0.1118 S
4.9700 3.4682 4.7117 S
5.0362 0.0012 4.8297 S
5.0362 6.7811 9.6409 S
```

***

This entry pairs a crystal structure of PrEr3 with its theoretical X-ray diffraction stick pattern. Radiation: Cu Kα (λ = 1.5418 Å). Structure: a DFT-relaxed cell (GGA-PBE, Alexandria).
Peak positions follow from Bragg's law for the DFT cell and can differ from measured ones.

Peak list (10 most intense, 2θ from 15° to 90°, in order of rising 2θ)
30.76°, I 100
35.59°, I 34
35.84°, I 17
51.21°, I 12
51.40°, I 24
60.94°, I 29
61.28°, I 14
64.08°, I 12
83.56°, I 6
83.86°, I 12

Crystal structure
```
PrEr3
1.0
5.0454 0.0000 0.0000
0.0000 5.0454 0.0000
0.0000 0.0000 10.0219
Pr Er
2 6
Cartesian
0.0000 0.0000 0.0000 Pr
2.5227 2.5227 5.0110 Pr
0.0000 0.0000 5.0110 Er
0.0000 2.5227 2.5055 Er
0.0000 2.5227 7.5165 Er
2.5227 0.0000 2.5055 Er
2.5227 0.0000 7.5165 Er
2.5227 2.5227 0.0000 Er
```